[1]
Starting from DFT lattice parameters and positions (PBE), the X-ray powder pattern of Li4TlSn was computed for CuKα.

Peak list (12 most intense, 2θ from 10° to 90°, low angle first)
d (Å)  intensity
4.059  100
3.001  15
2.413  60
2.348  10
2.341  19
2.031  11
1.847  22
1.682  14
1.533  9
1.407  10
1.365  14
1.264  9

a b c (Å): 5.561 5.561 5.561
angles (deg): 130.06 114.69 86.48
Fractional coordinates of all 6 atoms:
1 Li 0.078 0.834 0.244
2 Li 0.411 0.166 0.244
3 Li 0.589 0.834 0.756
4 Li 0.922 0.166 0.756
5 Tl 0.500 0.500 0.000
6 Sn 0.000 0.500 0.500


[2]
Starting from DFT lattice parameters and positions (PBE), the X-ray powder pattern of TePtPbN2 was computed for CuKα.

Peak list (12 most intense, 2θ from 10° to 90°, low angle first)
d (Å)  intensity
5.347  47
3.309  21
2.978  100
2.673  47
2.602  52
2.106  47
1.989  66
1.960  16
1.654  44
1.332  18
1.301  20
1.192  26

a b c (Å): 4.212 4.212 5.347
angles (deg): 90.00 90.00 90.00
Fractional coordinates of all 5 atoms:
1 Te 0.000 0.000 0.000
2 Pt 0.000 0.000 0.500
3 Pb 0.500 0.500 0.500
4 N 0.000 0.500 0.000
5 N 0.500 0.000 0.000